Entry 1:
Starting from the GGA-PBE geometry in Alexandria, the powder diffraction line list of CoCu2 was simulated for Cu Ka.

Atomic structure:
```
data_CoCu2
_chemical_formula_sum 'Co1 Cu2'
_cell_length_a 2.5153
_cell_length_b 2.5153
_cell_length_c 6.3392
_cell_angle_alpha 90.00
_cell_angle_beta 90.00
_cell_angle_gamma 120.00
_space_group_name_H-M_alt 'P -3 m 1'
_space_group_IT_number 164
_space_group_name_Hall '-P 3 2"'
loop_
_atom_site_label
_atom_site_fract_x
_atom_site_fract_y
_atom_site_fract_z
_atom_site_occupancy
Co1 0.0000 0.0000 0.0000 1
Cu1 0.3333 0.6667 0.3314 1
```

Peak list (6 most intense, 2θ = 10–90°, sorted by position)
Position (°2θ), I (rel.), hkl
42.8, 36.0, 0 0 3
44.0, 100.0, 0 1 1
50.9, 63.2, 1 0 2
74.0, 18.7, 0 1 4
75.6, 17.5, 1 1 0
89.4, 11.2, 1 0 5

---

Entry 2:
Starting from the GGA-PBE geometry in Alexandria, the powder diffraction line list of ZrNi3H3 was simulated for Cu Ka.

Atomic structure:
```
data_ZrNi3H3
_chemical_formula_sum 'Zr8 Ni24 H24'
_cell_length_a 8.2679
_cell_length_b 8.2679
_cell_length_c 8.2679
_cell_angle_alpha 90.00
_cell_angle_beta 90.00
_cell_angle_gamma 90.00
_space_group_name_H-M_alt 'F m -3 m'
_space_group_IT_number 225
_space_group_name_Hall '-F 4 2 3'
loop_
_atom_site_label
_atom_site_fract_x
_atom_site_fract_y
_atom_site_fract_z
_atom_site_occupancy
Zr1 0.2500 0.2500 0.2500 1
Ni1 0.0000 0.0000 0.2021 1
H1 0.0000 0.0000 0.3760 1
```

Peak list (10 most intense, 2θ = 10–90°, sorted by position)
Position (°2θ), I (rel.), hkl
18.6, 27.6, 1 1 1
30.6, 11.3, 2 2 0
37.7, 100.0, 2 2 2
43.8, 45.9, 4 0 0
48.0, 15.3, 3 3 1
58.0, 22.4, 3 3 3
63.7, 19.2, 4 4 0
72.3, 9.2, 6 2 0
76.4, 18.1, 6 2 2
83.5, 9.0, 5 5 1

---

Entry 3:
Starting from the GGA-PBE geometry in Alexandria, the powder diffraction line list of PrSmTlAg was simulated for Cu Ka.

Atomic structure:
```
data_PrSmTlAg
_chemical_formula_sum 'Pr1 Sm1 Tl1 Ag1'
_cell_length_a 3.7489
_cell_length_b 3.7489
_cell_length_c 7.9799
_cell_angle_alpha 90.00
_cell_angle_beta 90.00
_cell_angle_gamma 90.00
_space_group_name_H-M_alt 'P 4 m m'
_space_group_IT_number 99
_space_group_name_Hall 'P 4 -2'
loop_
_atom_site_label
_atom_site_fract_x
_atom_site_fract_y
_atom_site_fract_z
_atom_site_occupancy
Pr1 0.0000 0.0000 0.0000 1
Sm1 0.0000 0.0000 0.5283 1
Tl1 0.5000 0.5000 0.2701 1
Ag1 0.5000 0.5000 0.7501 1
```

Peak list (10 most intense, 2θ = 10–90°, sorted by position)
Position (°2θ), I (rel.), hkl
32.8, 100.0, 1 0 2
33.8, 47.1, 1 1 0
45.5, 9.4, 0 0 4
48.6, 19.9, 2 0 0
57.8, 18.5, 1 1 4
59.8, 35.4, 2 1 2
68.7, 11.2, 2 0 4
75.9, 7.3, 1 0 6
80.6, 7.6, 3 0 2
81.1, 8.3, 3 1 0